Computed powder diffractogram of Ti2CoMo for CuKα, from a GGA-PBE-relaxed structure.
Kinematic intensities with the Lorentz-polarization factor, no thermal factor.

Crystal structure
```
data_Ti2CoMo
_cell_length_a 4.3279
_cell_length_b 4.3279
_cell_length_c 4.3279
_cell_angle_alpha 60.00
_cell_angle_beta 60.00
_cell_angle_gamma 60.00
_symmetry_space_group_name_H-M 'P 1'
_symmetry_Int_Tables_number 1
_symmetry_space_group_name_Hall 'P 1'
loop_
_atom_site_label
_atom_site_type_symbol
_atom_site_fract_x
_atom_site_fract_y
_atom_site_fract_z
Ti1 Ti 0.2500 0.2500 0.2500
Ti2 Ti 0.7500 0.7500 0.7500
Co1 Co 0.0000 0.0000 0.0000
Mo1 Mo 0.5000 0.5000 0.5000
```

Largest 10 diffraction maxima, by angle, 15 to 90 degrees two-theta:
2theta	I_rel
25.20	5
29.18	9
41.74	100
49.39	2
51.74	2
60.51	15
66.60	1
68.57	3
76.20	30
81.76	1